1.
# CsZr2GaPb
Simulated powder diffractogram, Cu Ka. Input: a cell relaxed with GGA-PBE.

Principal peaks in the range 5° ≤ 2θ ≤ 70°, in order of falling intensity:
2θ = 15.8°, d = 5.601 Å, I 100; 2θ = 32.0°, d = 2.801 Å, I 98; 2θ = 41.5°, d = 2.178 Å, I 96; 2θ = 25.7°, d = 3.464 Å, I 86; 2θ = 53.3°, d = 1.719 Å, I 46; 2θ = 30.3°, d = 2.946 Å, I 43; 2θ = 12.8°, d = 6.927 Å, I 42; 2θ = 45.8°, d = 1.980 Å, I 36; 2θ = 20.4°, d = 4.356 Å, I 35; 2θ = 25.9°, d = 3.438 Å, I 34

Structure:
Cell: 5.601 5.601 6.927 Å, 90.00 90.00 90.00°
Fractional coordinates of all 5 atoms:
Cs 0.000 0.000 0.000
Zr 0.000 0.500 0.500
Zr 0.500 0.000 0.500
Ga 0.500 0.500 0.000
Pb 0.000 0.000 0.500

2.
# Dy2Zn16Ru
Simulated powder diffractogram, Cu Ka. Input: a cell relaxed with GGA-PBE.

Principal peaks in the range 5° ≤ 2θ ≤ 70°, in order of falling intensity:
2θ = 40.5°, d = 2.227 Å, I 100; 2θ = 40.2°, d = 2.243 Å, I 74; 2θ = 41.4°, d = 2.183 Å, I 48; 2θ = 34.6°, d = 2.590 Å, I 45; 2θ = 41.6°, d = 2.171 Å, I 35; 2θ = 35.9°, d = 2.503 Å, I 32; 2θ = 45.5°, d = 1.995 Å, I 30; 2θ = 28.5°, d = 3.128 Å, I 30; 2θ = 59.0°, d = 1.565 Å, I 22; 2θ = 58.4°, d = 1.581 Å, I 15

Structure:
Cell: 6.774 6.774 6.774 Å, 82.96 82.96 82.96°
Fractional coordinates of all 19 atoms:
Dy 0.000 0.000 0.000
Dy 0.338 0.338 0.338
Zn 0.030 0.030 0.527
Zn 0.030 0.527 0.030
Zn 0.171 0.682 0.682
Zn 0.319 0.319 0.840
Zn 0.319 0.840 0.319
Zn 0.391 0.680 0.967
Zn 0.391 0.967 0.680
Zn 0.527 0.030 0.030
Zn 0.574 0.574 0.574
Zn 0.680 0.391 0.967
Zn 0.680 0.967 0.391
Zn 0.682 0.171 0.682
Zn 0.682 0.682 0.171
Zn 0.840 0.319 0.319
Zn 0.967 0.391 0.680
Zn 0.967 0.680 0.391
Ru 0.775 0.775 0.775